No. 1
For TiCuI2O, a PBE-relaxed structure gives the theoretical powder XRD pattern in this record (Cu Kα).
Intensities are scaled so that the largest is 100.

The 10 most intense peaks (2θ = 5–70°), in order of rising 2θ:
| Position (°2θ) | d (Å) | I/Imax |
| --- | --- | --- |
| 22.3 | 3.991 | 21 |
| 23.8 | 3.736 | 31 |
| 28.7 | 3.115 | 17 |
| 31.7 | 2.822 | 97 |
| 32.8 | 2.727 | 100 |
| 40.0 | 2.252 | 31 |
| 45.5 | 1.995 | 35 |
| 57.2 | 1.610 | 39 |
| 59.3 | 1.558 | 30 |
| 68.8 | 1.364 | 19 |

Atomic structure:
Cell: 5.6437 5.6437 3.7364 Å, 90.00 90.00 90.00°
Atoms (fractional coordinates):
1 Ti 0.0000 0.0000 0.0000
2 Cu 0.5000 0.5000 0.5000
3 I 0.0000 0.5000 0.0000
4 I 0.5000 0.0000 0.0000
5 O 0.0000 0.0000 0.5000

No. 2
For Cu2OsI2, a PBE-relaxed structure gives the theoretical powder XRD pattern in this record (Cu Kα).
Intensities are scaled so that the largest is 100.

The 10 most intense peaks (2θ = 5–70°), in order of rising 2θ:
| Position (°2θ) | d (Å) | I/Imax |
| --- | --- | --- |
| 29.5 | 3.032 | 27 |
| 34.6 | 2.590 | 100 |
| 36.0 | 2.492 | 35 |
| 37.0 | 2.431 | 84 |
| 40.5 | 2.229 | 57 |
| 47.2 | 1.925 | 19 |
| 47.6 | 1.910 | 25 |
| 59.2 | 1.560 | 18 |
| 61.1 | 1.516 | 15 |
| 64.2 | 1.450 | 29 |

Atomic structure:
Cell: 7.0482 7.0482 3.8194 Å, 90.00 90.00 90.00°
Atoms (fractional coordinates):
1 Cu 0.1276 0.3724 0.0000
2 Cu 0.3724 0.8724 0.0000
3 Cu 0.6276 0.1276 0.0000
4 Cu 0.8724 0.6276 0.0000
5 Os 0.0000 0.0000 0.0000
6 Os 0.5000 0.5000 0.0000
7 I 0.1903 0.6903 0.5000
8 I 0.3097 0.1903 0.5000
9 I 0.6903 0.8097 0.5000
10 I 0.8097 0.3097 0.5000

No. 3
For Cu4P12I, a PBE-relaxed structure gives the theoretical powder XRD pattern in this record (Cu Kα).
Intensities are scaled so that the largest is 100.

The 10 most intense peaks (2θ = 5–70°), in order of rising 2θ:
| Position (°2θ) | d (Å) | I/Imax |
| --- | --- | --- |
| 15.2 | 5.813 | 18 |
| 26.6 | 3.356 | 9 |
| 30.8 | 2.907 | 100 |
| 34.5 | 2.600 | 74 |
| 41.1 | 2.197 | 48 |
| 44.1 | 2.055 | 11 |
| 49.6 | 1.838 | 26 |
| 54.7 | 1.678 | 50 |
| 57.1 | 1.612 | 41 |
| 61.8 | 1.501 | 10 |

Atomic structure:
Cell: 7.1198 7.1198 7.1198 Å, 109.47 109.47 109.47°
Atoms (fractional coordinates):
1 Cu 0.0000 0.0000 0.5000
2 Cu 0.0000 0.5000 0.0000
3 Cu 0.5000 0.0000 0.0000
4 Cu 0.5000 0.5000 0.5000
5 P 0.1336 0.4971 0.3635
6 P 0.1336 0.7701 0.6365
7 P 0.2299 0.3635 0.8664
8 P 0.3635 0.1336 0.4971
9 P 0.3635 0.8664 0.2299
10 P 0.4971 0.3635 0.1336
11 P 0.5029 0.6365 0.8664
12 P 0.6365 0.1336 0.7701
13 P 0.6365 0.8664 0.5029
14 P 0.7701 0.6365 0.1336
15 P 0.8664 0.2299 0.3635
16 P 0.8664 0.5029 0.6365
17 I 0.0000 0.0000 0.0000

No. 4
For CuPI6, a PBE-relaxed structure gives the theoretical powder XRD pattern in this record (Cu Kα).
Intensities are scaled so that the largest is 100.

The 10 most intense peaks (2θ = 5–70°), in order of rising 2θ:
| Position (°2θ) | d (Å) | I/Imax |
| --- | --- | --- |
| 11.9 | 7.417 | 77 |
| 22.3 | 3.985 | 100 |
| 23.0 | 3.859 | 55 |
| 23.6 | 3.778 | 83 |
| 24.1 | 3.700 | 60 |
| 27.1 | 3.289 | 56 |
| 29.4 | 3.033 | 41 |
| 30.0 | 2.981 | 41 |
| 35.4 | 2.534 | 40 |
| 41.3 | 2.186 | 49 |

Atomic structure:
Cell: 6.1173 7.3715 8.3480 Å, 69.49 70.68 84.07°
Atoms (fractional coordinates):
1 Cu 0.0000 0.0000 0.0000
2 P 0.5000 0.5000 0.0000
3 I 0.1013 0.6662 0.1878
4 I 0.2388 0.1479 0.1361
5 I 0.4663 0.6806 0.6607
6 I 0.5337 0.3194 0.3393
7 I 0.7612 0.8521 0.8639
8 I 0.8987 0.3338 0.8122